(1)
The following is a computed powder diffraction line list of Pr2Zn2SnPd5. It was derived from a DFT-relaxed cell (GGA-PBE, Alexandria), using a wavelength of 1.5418 Å.
Peak positions follow from Bragg's law for the DFT cell and can differ from measured ones.

Main lines, by intensity (2θ = 15–90°):
Position (°2θ)  d_spacing  intensity
36.88  2.437  100
37.12  2.422  53
40.17  2.245  40
34.54  2.597  32
30.74  2.908  27
47.44  1.916  26
61.73  1.503  23
40.39  2.233  17
38.24  2.354  13
64.51  1.445  12
71.15  1.325  10
81.23  1.184  10

Atomic structure:
```
data_Pr2Zn2SnPd5
_chemical_formula_sum 'Pr4 Zn4 Sn2 Pd10'
_space_group_name_H-M_alt 'P 4/m b m'
_space_group_IT_number 127
_space_group_name_Hall '-P 4 2ab'
_cell_length_a 9.9858
_cell_length_b 9.9858
_cell_length_c 3.8326
_cell_angle_alpha 90.00
_cell_angle_beta 90.00
_cell_angle_gamma 90.00
loop_
_atom_site_label
_atom_site_type_symbol
_atom_site_fract_x
_atom_site_fract_y
_atom_site_fract_z
Pr1 Pr 0.1788 0.3212 0.0000
Zn1 Zn 0.1177 0.6177 0.0000
Sn1 Sn 0.0000 0.0000 0.0000
Pd1 Pd 0.0000 0.5000 0.5000
Pd2 Pd 0.0648 0.7895 0.5000
```

(2)
The following is a computed powder diffraction line list of SrPrPd4. It was derived from a DFT-relaxed cell (GGA-PBE, Alexandria), using a wavelength of 1.5418 Å.
Peak positions follow from Bragg's law for the DFT cell and can differ from measured ones.

Main lines, by intensity (2θ = 15–90°):
Position (°2θ)  d_spacing  intensity
37.85  2.377  100
39.60  2.276  38
61.07  1.517  32
32.11  2.787  29
67.16  1.394  27
80.87  1.189  14
79.76  1.202  11
57.24  1.609  11
19.50  4.552  6
76.40  1.247  5
46.05  1.971  4
22.56  3.942  2

Atomic structure:
```
data_SrPrPd4
_chemical_formula_sum 'Sr4 Pr4 Pd16'
_space_group_name_H-M_alt 'F -4 3 m'
_space_group_IT_number 216
_space_group_name_Hall 'F -4 2 3'
_cell_length_a 7.8841
_cell_length_b 7.8841
_cell_length_c 7.8841
_cell_angle_alpha 90.00
_cell_angle_beta 90.00
_cell_angle_gamma 90.00
loop_
_atom_site_label
_atom_site_type_symbol
_atom_site_fract_x
_atom_site_fract_y
_atom_site_fract_z
Sr1 Sr 0.0000 0.0000 0.0000
Pr1 Pr 0.2500 0.2500 0.7500
Pd1 Pd 0.1249 0.1249 0.3751
```

(3)
The following is a computed powder diffraction line list of TbPrPd4. It was derived from a DFT-relaxed cell (GGA-PBE, Alexandria), using a wavelength of 1.5418 Å.
Peak positions follow from Bragg's law for the DFT cell and can differ from measured ones.

Main lines, by intensity (2θ = 15–90°):
Position (°2θ)  d_spacing  intensity
37.76  2.383  100
38.14  2.359  99
41.33  2.184  50
42.54  2.125  38
60.81  1.523  31
77.04  1.238  25
29.32  3.046  24
73.49  1.289  21
48.20  1.888  18
66.22  1.411  14
74.93  1.267  13
74.68  1.271  13

Atomic structure:
```
data_TbPrPd4
_chemical_formula_sum 'Tb4 Pr4 Pd16'
_space_group_name_H-M_alt 'C m c m'
_space_group_IT_number 63
_space_group_name_Hall '-C 2c 2'
_cell_length_a 4.2502
_cell_length_b 19.8553
_cell_length_c 5.8161
_cell_angle_alpha 90.00
_cell_angle_beta 90.00
_cell_angle_gamma 90.00
loop_
_atom_site_label
_atom_site_type_symbol
_atom_site_fract_x
_atom_site_fract_y
_atom_site_fract_z
Tb1 Tb 0.0000 0.0756 0.2500
Pr1 Pr 0.0000 0.2226 0.7500
Pd1 Pd 0.0000 0.0713 0.7500
Pd2 Pd 0.0000 0.3561 0.0085
Pd3 Pd 0.0000 0.5000 0.0000
```

(4)
The following is a computed powder diffraction line list of Pr4TcPd. It was derived from a DFT-relaxed cell (GGA-PBE, Alexandria), using a wavelength of 1.5418 Å.
Peak positions follow from Bragg's law for the DFT cell and can differ from measured ones.

Main lines, by intensity (2θ = 15–90°):
Position (°2θ)  d_spacing  intensity
31.15  2.871  100
34.44  2.604  60
35.18  2.551  58
29.57  3.021  56
29.44  3.034  53
28.68  3.113  42
36.99  2.430  39
32.50  2.755  39
37.14  2.421  38
35.33  2.540  34
32.89  2.723  31
33.19  2.700  29

Atomic structure:
```
data_Pr4TcPd
_chemical_formula_sum 'Pr8 Tc2 Pd2'
_space_group_name_H-M_alt 'P -1'
_space_group_IT_number 2
_cell_length_a 6.5638
_cell_length_b 7.9954
_cell_length_c 8.1553
_cell_angle_alpha 114.16
_cell_angle_beta 107.90
_cell_angle_gamma 100.73
loop_
_space_group_symop_operation_xyz
'x,y,z'
'-x,-y,-z'
loop_
_atom_site_label
_atom_site_type_symbol
_atom_site_fract_x
_atom_site_fract_y
_atom_site_fract_z
Pr1 Pr 0.0126 0.2307 0.3624
Pr2 Pr 0.2028 0.2944 0.8471
Pr3 Pr 0.3523 0.6335 0.3643
Pr4 Pr 0.3582 0.9493 0.1538
Tc1 Tc 0.2531 0.0033 0.5066
Pd1 Pd 0.3829 0.6325 0.7665
```

(5)
The following is a computed powder diffraction line list of Pr3Te4Pd3. It was derived from a DFT-relaxed cell (GGA-PBE, Alexandria), using a wavelength of 1.5418 Å.
Peak positions follow from Bragg's law for the DFT cell and can differ from measured ones.

Main lines, by intensity (2θ = 15–90°):
Position (°2θ)  d_spacing  intensity
33.37  2.685  100
40.14  2.246  38
28.09  3.177  27
44.16  2.051  16
58.07  1.588  13
68.65  1.367  12
46.07  1.970  11
56.46  1.630  11
49.71  1.834  10
64.23  1.450  9
42.19  2.142  9
62.72  1.481  8

Atomic structure:
```
data_Pr3Te4Pd3
_chemical_formula_sum 'Pr12 Te16 Pd12'
_space_group_name_H-M_alt 'I -4 3 d'
_space_group_IT_number 220
_space_group_name_Hall 'I -4bd 2c 3'
_cell_length_a 10.0465
_cell_length_b 10.0465
_cell_length_c 10.0465
_cell_angle_alpha 90.00
_cell_angle_beta 90.00
_cell_angle_gamma 90.00
loop_
_atom_site_label
_atom_site_type_symbol
_atom_site_fract_x
_atom_site_fract_y
_atom_site_fract_z
Pr1 Pr 0.0000 0.2500 0.3750
Te1 Te 0.0825 0.0825 0.0825
Pd1 Pd 0.0000 0.2500 0.8750
```

(6)
The following is a computed powder diffraction line list of PrTe2Pd7. It was derived from a DFT-relaxed cell (GGA-PBE, Alexandria), using a wavelength of 1.5418 Å.
Peak positions follow from Bragg's law for the DFT cell and can differ from measured ones.

Main lines, by intensity (2θ = 15–90°):
Position (°2θ)  d_spacing  intensity
38.93  2.314  100
41.93  2.155  46
74.58  1.272  29
24.15  3.685  23
60.80  1.524  16
68.42  1.371  13
33.88  2.646  10
51.40  1.778  8
83.58  1.157  7
48.97  1.860  7
30.51  2.930  5
68.90  1.363  5

Atomic structure:
```
data_PrTe2Pd7
_chemical_formula_sum 'Pr2 Te4 Pd14'
_space_group_name_H-M_alt 'I 4/m m m'
_space_group_IT_number 139
_space_group_name_Hall '-I 4 2'
_cell_length_a 4.3093
_cell_length_b 4.3093
_cell_length_c 21.3319
_cell_angle_alpha 90.00
_cell_angle_beta 90.00
_cell_angle_gamma 90.00
loop_
_atom_site_label
_atom_site_type_symbol
_atom_site_fract_x
_atom_site_fract_y
_atom_site_fract_z
Pr1 Pr 0.0000 0.0000 0.0000
Te1 Te 0.0000 0.0000 0.3270
Pd1 Pd 0.0000 0.0000 0.5000
Pd2 Pd 0.0000 0.5000 0.0974
Pd3 Pd 0.0000 0.5000 0.2500
```

(7)
The following is a computed powder diffraction line list of PrTe2Pd2. It was derived from a DFT-relaxed cell (GGA-PBE, Alexandria), using a wavelength of 1.5418 Å.
Peak positions follow from Bragg's law for the DFT cell and can differ from measured ones.

Main lines, by intensity (2θ = 15–90°):
Position (°2θ)  d_spacing  intensity
38.17  2.358  100
28.57  3.124  52
40.61  2.221  42
32.16  2.784  39
29.26  3.052  25
32.04  2.794  22
52.72  1.736  19
72.27  1.307  17
27.51  3.243  17
47.10  1.930  16
50.83  1.796  14
42.09  2.147  13

Atomic structure:
```
data_PrTe2Pd2
_chemical_formula_sum 'Pr4 Te8 Pd8'
_space_group_name_H-M_alt 'P n m a'
_space_group_IT_number 62
_cell_length_a 9.4884
_cell_length_b 4.4427
_cell_length_c 11.6469
_cell_angle_alpha 90.00
_cell_angle_beta 90.00
_cell_angle_gamma 90.00
loop_
_space_group_symop_operation_xyz
'x,y,z'
'-x,-y,-z'
'-x+1/2,-y,z+1/2'
'x+1/2,y,-z+1/2'
'x+1/2,-y+1/2,-z+1/2'
'-x+1/2,y+1/2,z+1/2'
'-x,y+1/2,-z'
'x,-y+1/2,z'
loop_
_atom_site_label
_atom_site_type_symbol
_atom_site_fract_x
_atom_site_fract_y
_atom_site_fract_z
Pr1 Pr 0.1839 0.2500 0.1722
Te1 Te 0.0417 0.2500 0.6926
Te2 Te 0.2023 0.7500 0.9457
Pd1 Pd 0.0077 0.2500 0.4225
Pd2 Pd 0.0408 0.2500 0.9278
```

(8)
The following is a computed powder diffraction line list of PrTiPd3. It was derived from a DFT-relaxed cell (GGA-PBE, Alexandria), using a wavelength of 1.5418 Å.
Peak positions follow from Bragg's law for the DFT cell and can differ from measured ones.

Main lines, by intensity (2θ = 15–90°):
Position (°2θ)  d_spacing  intensity
36.15  2.485  100
58.14  1.587  41
30.64  2.918  32
45.35  2.000  26
32.61  2.746  14
67.20  1.393  13
34.81  2.577  11
70.46  1.336  10
52.38  1.747  7
28.14  3.171  7
83.59  1.157  7
46.43  1.956  7

Atomic structure:
```
data_PrTiPd3
_chemical_formula_sum 'Pr2 Ti2 Pd6'
_space_group_name_H-M_alt 'P 63/m m c'
_space_group_IT_number 194
_space_group_name_Hall '-P 6c 2c'
_cell_length_a 6.3413
_cell_length_b 6.3413
_cell_length_c 5.8363
_cell_angle_alpha 90.00
_cell_angle_beta 90.00
_cell_angle_gamma 120.00
loop_
_atom_site_label
_atom_site_type_symbol
_atom_site_fract_x
_atom_site_fract_y
_atom_site_fract_z
Pr1 Pr 0.3333 0.6667 0.2500
Ti1 Ti 0.0000 0.0000 0.0000
Pd1 Pd 0.1902 0.3805 0.7500
```